Diffraction record for Pu2TlAgO8. The powder X-ray diffraction pattern is simulated, not measured: it uses the PBE geometry in Alexandria and Cu Kα, 1.54184 Å.
Peak positions follow from Bragg's law for the DFT cell and can differ from measured ones.

Main lines, most intense first (2θ from 10° to 90°):
| index | 2θ (°) | intensity |
| --- | --- | --- |
| 1 1 0 | 29.7 | 100 |
| 0 1 1 | 21.9 | 80 |
| 2 -1 2 | 41.0 | 60 |
| 0 0 1 | 13.7 | 54 |
| 0 0 2 | 27.6 | 26 |
| 3 0 0 | 52.6 | 26 |
| 2 -1 1 | 32.8 | 24 |
| 2 0 1 | 37.2 | 23 |
| 3 -2 1 | 48.3 | 22 |
| 1 0 2 | 32.6 | 20 |

Atomic structure:
abc: 6.0239 6.0239 6.4573
angles: 90.00 90.00 120.00
Space group P-3 (No. 147)
Unique sites:
Pu  0.3333  0.6667  0.4389 x2
Tl  0.0000  0.0000  0.0000 x1
Ag  0.0000  0.0000  0.5000 x1
O  0.0645  0.3898  0.6360 x6
O  0.3333  0.6667  0.1523 x2